No. 1
Theoretical powder diffraction line list of CeDy4Te6 for copper Kα, from a crystal structure in Alexandria, relaxed with GGA-PBE.
Peak positions follow from Bragg's law for the DFT cell and can differ from measured ones.

Cell and atoms:
abc: 7.465 7.465 22.272
angles: 90.00 90.00 146.34
Positions (direct):
Ce (0.155, 0.845, 0.750)
Ce (0.845, 0.155, 0.250)
Dy (0.089, 0.911, 0.125)
Dy (0.089, 0.911, 0.375)
Dy (0.356, 0.644, 0.036)
Dy (0.356, 0.644, 0.464)
Dy (0.644, 0.356, 0.536)
Dy (0.644, 0.356, 0.964)
Dy (0.911, 0.089, 0.625)
Dy (0.911, 0.089, 0.875)
Te (0.000, 0.000, 0.000)
Te (0.000, 0.000, 0.500)
Te (0.180, 0.820, 0.250)
Te (0.266, 0.734, 0.593)
Te (0.266, 0.734, 0.907)
Te (0.449, 0.551, 0.163)
Te (0.449, 0.551, 0.337)
Te (0.551, 0.449, 0.663)
Te (0.551, 0.449, 0.837)
Te (0.734, 0.266, 0.093)
Te (0.734, 0.266, 0.407)
Te (0.820, 0.180, 0.750)

Most intense lines, 2θ = 10–90°, sorted by position:
27.07°, d 3.294, rel. 48; 28.17°, d 3.168, rel. 49; 29.03°, d 3.076, rel. 100; 30.41°, d 2.939, rel. 62; 39.00°, d 2.310, rel. 36; 41.23°, d 2.190, rel. 35; 41.80°, d 2.161, rel. 40; 43.05°, d 2.101, rel. 35

=====

No. 2
Theoretical powder diffraction line list of Ce3DyY3Te8 for copper Kα, from a crystal structure in Alexandria, relaxed with GGA-PBE.
Peak positions follow from Bragg's law for the DFT cell and can differ from measured ones.

Cell and atoms:
abc: 8.788 8.792 8.858
angles: 60.29 60.28 60.03
Positions (direct):
Ce (0.000, 0.000, 0.000)
Ce (0.000, 0.500, 0.000)
Ce (0.500, 0.000, 0.000)
Dy (0.000, 0.000, 0.500)
Y (0.000, 0.500, 0.500)
Y (0.500, 0.000, 0.500)
Y (0.500, 0.500, 0.500)
Te (0.252, 0.252, 0.255)
Te (0.252, 0.741, 0.255)
Te (0.253, 0.253, 0.740)
Te (0.259, 0.748, 0.745)
Te (0.741, 0.252, 0.255)
Te (0.747, 0.747, 0.260)
Te (0.748, 0.259, 0.745)
Te (0.748, 0.748, 0.745)

Most intense lines, 2θ = 10–90°, sorted by position:
28.61°, d 3.120, rel. 100; 40.73°, d 2.215, rel. 38; 41.07°, d 2.198, rel. 37; 50.81°, d 1.797, rel. 20; 59.22°, d 1.560, rel. 12; 66.83°, d 1.400, rel. 17; 67.31°, d 1.391, rel. 17; 74.59°, d 1.272, rel. 12

=====

No. 3
Theoretical powder diffraction line list of Ce2Dy2Th3 for copper Kα, from a crystal structure in Alexandria, relaxed with GGA-PBE.
Peak positions follow from Bragg's law for the DFT cell and can differ from measured ones.

Cell and atoms:
abc: 8.484 8.760 6.204
angles: 90.00 111.44 90.00
Positions (direct):
Ce (0.242, 0.250, 0.121)
Ce (0.242, 0.250, 0.621)
Ce (0.758, 0.750, 0.379)
Ce (0.758, 0.750, 0.879)
Dy (0.331, 0.624, 0.415)
Dy (0.331, 0.876, 0.915)
Dy (0.669, 0.124, 0.085)
Dy (0.669, 0.376, 0.585)
Th (0.065, 0.570, 0.782)
Th (0.065, 0.930, 0.282)
Th (0.500, 0.000, 0.500)
Th (0.500, 0.500, 0.000)
Th (0.935, 0.070, 0.718)
Th (0.935, 0.430, 0.218)

Most intense lines, 2θ = 10–90°, sorted by position:
28.78°, d 3.102, rel. 31; 30.20°, d 2.959, rel. 79; 30.48°, d 2.933, rel. 51; 32.67°, d 2.741, rel. 93; 33.44°, d 2.680, rel. 100; 34.42°, d 2.606, rel. 30; 35.46°, d 2.531, rel. 45; 54.03°, d 1.697, rel. 26

=====

No. 4
Theoretical powder diffraction line list of CeDy6Th3 for copper Kα, from a crystal structure in Alexandria, relaxed with GGA-PBE.
Peak positions follow from Bragg's law for the DFT cell and can differ from measured ones.

Cell and atoms:
abc: 6.905 6.905 6.905
angles: 90.77 90.77 90.77
Positions (direct):
Ce (0.000, 0.000, 0.000)
Dy (0.076, 0.413, 0.747)
Dy (0.252, 0.923, 0.586)
Dy (0.413, 0.747, 0.076)
Dy (0.586, 0.252, 0.923)
Dy (0.747, 0.076, 0.413)
Dy (0.923, 0.586, 0.252)
Th (0.239, 0.239, 0.239)
Th (0.500, 0.500, 0.500)
Th (0.761, 0.761, 0.761)

Most intense lines, 2θ = 10–90°, sorted by position:
18.05°, d 4.915, rel. 13; 29.08°, d 3.071, rel. 58; 31.53°, d 2.838, rel. 100; 32.12°, d 2.787, rel. 19; 41.53°, d 2.174, rel. 19; 43.42°, d 2.084, rel. 20; 54.64°, d 1.680, rel. 20; 56.14°, d 1.638, rel. 20